Calculated powder diffraction line list
Compound: CaHg2Ru
Radiation: a wavelength of 1.5418 Å
Structure: a structure optimized by DFT (GGA-PBE)

Cell and atoms:
```
data_CaHg2Ru
_chemical_formula_sum 'Ca2 Hg4 Ru2'
_symmetry_space_group_name_H-M 'I 4/m m m'
_symmetry_Int_Tables_number 139
_symmetry_space_group_name_Hall '-I 4 2'
_cell_length_a 4.437
_cell_length_b 4.437
_cell_length_c 8.365
_cell_angle_alpha 90.00
_cell_angle_beta 90.00
_cell_angle_gamma 90.00
loop_
_atom_site_label
_atom_site_type_symbol
_atom_site_fract_x
_atom_site_fract_y
_atom_site_fract_z
Ca1 Ca 0.000 0.000 0.000
Hg1 Hg 0.000 0.500 0.250
Ru1 Ru 0.000 0.000 0.500
```

Principal peaks in the range 10 to 90 degrees two-theta, low angle first:
21.24°, rel. 19
28.45°, rel. 19
35.77°, rel. 100
40.66°, rel. 35
43.26°, rel. 15
58.86°, rel. 12
60.87°, rel. 21
70.83°, rel. 27
74.47°, rel. 12
75.80°, rel. 11

Calculated powder diffraction line list
Compound: Ca6Hg2S
Radiation: a wavelength of 1.5418 Å
Structure: a structure optimized by DFT (GGA-PBE)

Cell and atoms:
```
data_Ca6Hg2S
_chemical_formula_sum 'Ca12 Hg4 S2'
_symmetry_space_group_name_H-M 'P 1 21/c 1'
_symmetry_Int_Tables_number 14
_cell_length_a 6.963
_cell_length_b 8.024
_cell_length_c 12.346
_cell_angle_alpha 90.00
_cell_angle_beta 122.48
_cell_angle_gamma 90.00
loop_
_symmetry_equiv_pos_as_xyz
'x,y,z'
'-x,-y,-z'
'-x,y+1/2,-z+1/2'
'x,-y+1/2,z+1/2'
loop_
_atom_site_label
_atom_site_type_symbol
_atom_site_fract_x
_atom_site_fract_y
_atom_site_fract_z
Ca1 Ca 0.113 0.182 0.442
Ca2 Ca 0.282 0.686 0.440
Ca3 Ca 0.374 0.033 0.247
Hg1 Hg 0.199 0.107 0.747
S1 S 0.500 0.000 0.500
```

Principal peaks in the range 10 to 90 degrees two-theta, low angle first:
16.86°, rel. 81
17.03°, rel. 72
18.72°, rel. 57
19.09°, rel. 53
23.76°, rel. 100
24.35°, rel. 40
29.02°, rel. 44
30.48°, rel. 58
31.20°, rel. 51
34.15°, rel. 65

Calculated powder diffraction line list
Compound: Ca2Hg3Sb
Radiation: a wavelength of 1.5418 Å
Structure: a structure optimized by DFT (GGA-PBE)

Cell and atoms:
```
data_Ca2Hg3Sb
_chemical_formula_sum 'Ca16 Hg24 Sb8'
_symmetry_space_group_name_H-M 'F m m m'
_symmetry_Int_Tables_number 69
_symmetry_space_group_name_Hall '-F 2 2'
_cell_length_a 7.346
_cell_length_b 10.001
_cell_length_c 17.489
_cell_angle_alpha 90.00
_cell_angle_beta 90.00
_cell_angle_gamma 90.00
loop_
_atom_site_label
_atom_site_type_symbol
_atom_site_fract_x
_atom_site_fract_y
_atom_site_fract_z
Ca1 Ca 0.249 0.000 0.000
Ca2 Ca 0.250 0.250 0.250
Hg1 Hg 0.000 0.000 0.162
Hg2 Hg 0.000 0.250 0.081
Sb1 Sb 0.000 0.000 0.331
```

Principal peaks in the range 10 to 90 degrees two-theta, low angle first:
20.31°, rel. 18
20.46°, rel. 37
24.23°, rel. 67
31.89°, rel. 100
35.65°, rel. 80
35.92°, rel. 40
43.58°, rel. 58
43.80°, rel. 29
48.73°, rel. 20
62.61°, rel. 31

Calculated powder diffraction line list
Compound: CaHg2Sb
Radiation: a wavelength of 1.5418 Å
Structure: a structure optimized by DFT (GGA-PBE)

Cell and atoms:
```
data_CaHg2Sb
_chemical_formula_sum 'Ca2 Hg4 Sb2'
_symmetry_space_group_name_H-M 'P -1'
_symmetry_Int_Tables_number 2
_cell_length_a 4.598
_cell_length_b 5.897
_cell_length_c 9.232
_cell_angle_alpha 96.79
_cell_angle_beta 103.09
_cell_angle_gamma 110.69
loop_
_symmetry_equiv_pos_as_xyz
'x,y,z'
'-x,-y,-z'
loop_
_atom_site_label
_atom_site_type_symbol
_atom_site_fract_x
_atom_site_fract_y
_atom_site_fract_z
Ca1 Ca 0.024 0.397 0.206
Hg1 Hg 0.207 0.288 0.547
Hg2 Hg 0.331 0.233 0.943
Sb1 Sb 0.357 0.996 0.244
```

Principal peaks in the range 10 to 90 degrees two-theta, low angle first:
21.40°, rel. 38
27.69°, rel. 21
31.44°, rel. 100
32.00°, rel. 71
32.14°, rel. 67
33.71°, rel. 56
35.11°, rel. 60
38.07°, rel. 27
39.23°, rel. 46
54.37°, rel. 31

What is the formula in the first record?
CaHg2Ru